Diffraction record for CuIrS2. The powder diffractogram is simulated, not measured: it uses a cell relaxed with PBE and Cu Kα (λ = 1.5418 Å).
Peak positions follow from Bragg's law for the DFT cell and can differ from measured ones.

Largest 8 diffraction maxima, low angle first, 10 to 90 degrees two-theta:
2theta  I/Imax
14.86  100
28.72  84
28.96  63
29.97  33
30.50  35
34.37  56
45.01  49
50.04  35

```
CuIrS2
1.0
6.3483 0.0000 0.0000
0.0000 3.6126 0.0000
-1.7185 0.0000 5.9622
Cu Ir S
2 2 4
Direct
0.0000 0.0000 0.0000
0.5000 0.5000 0.0000
0.2922 0.5000 0.5541
0.7922 0.0000 0.5541
0.0258 0.5000 0.7626
0.0747 0.0000 0.3653
0.5258 0.0000 0.7626
0.5747 0.5000 0.3653
```